Theoretical powder diffraction line list
Compound: Mn6OF11
Radiation: Cu Kα (λ = 1.5418 Å)
Structure: DFT lattice parameters and positions (GGA+U)
Kinematic intensities with the Lorentz-polarization factor, no thermal factor.

```
Mn6OF11
1.0
4.951 0.000 0.000
0.000 5.918 0.000
-0.031 0.000 16.185
Mn O F
12 2 22
direct
0.000 0.000 0.000 Mn
0.000 0.321 0.500 Mn
0.001 0.979 0.332 Mn
0.006 0.294 0.838 Mn
0.471 0.835 0.842 Mn
0.491 0.481 0.327 Mn
0.500 0.491 0.000 Mn
0.500 0.815 0.500 Mn
0.509 0.481 0.673 Mn
0.529 0.835 0.158 Mn
0.994 0.294 0.162 Mn
0.999 0.979 0.668 Mn
0.193 0.038 0.897 O
0.807 0.038 0.103 O
0.226 0.255 0.727 F
0.228 0.042 0.558 F
0.231 0.255 0.389 F
0.235 0.263 0.055 F
0.246 0.040 0.223 F
0.258 0.532 0.214 F
0.266 0.750 0.389 F
0.272 0.536 0.889 F
0.272 0.771 0.052 F
0.273 0.542 0.560 F
0.280 0.759 0.727 F
0.720 0.759 0.273 F
0.727 0.542 0.440 F
0.728 0.536 0.111 F
0.728 0.771 0.948 F
0.734 0.750 0.611 F
0.742 0.532 0.786 F
0.754 0.040 0.777 F
0.765 0.263 0.945 F
0.769 0.255 0.611 F
0.772 0.042 0.442 F
0.774 0.255 0.273 F
```

Peak list (6 most intense, 10 to 90 degrees two-theta, most intense first)
28.7°, 3.105 Å, intensity 100, (1 1 -3); 23.4°, 3.797 Å, intensity 42, (1 1 0); 51.0°, 1.791 Å, intensity 35, (2 2 3); 39.2°, 2.298 Å, intensity 21, (1 2 3); 60.2°, 1.537 Å, intensity 16, (0 2 9); 49.8°, 1.832 Å, intensity 15, (1 3 0)